Record 1
# Li4ZnSn2Pt
Theoretical powder XRD pattern, Cu Ka. Input: DFT lattice parameters and positions (GGA-PBE).
Lines closer than 0.1° are merged.

Structure:
Cell: 4.5027 4.5027 6.4335 Å, 90.00 90.00 90.00°
Space group P-4m2 (No. 115)
Inequivalent atoms, fractional coordinates:
Li (0.0000, 0.0000, 0.0000) (multiplicity 1)
Li (0.0000, 0.5000, 0.2444) (multiplicity 2)
Li (0.5000, 0.5000, 0.5000) (multiplicity 1)
Zn (0.0000, 0.0000, 0.5000) (multiplicity 1)
Sn (0.0000, 0.5000, 0.7583) (multiplicity 2)
Pt (0.5000, 0.5000, 0.0000) (multiplicity 1)

Most intense lines, 5 to 70 degrees two-theta, by angle:
- (0 0 1), 6.434 Å, I = 13
- (1 0 0), 4.503 Å, I = 10
- (1 0 1), 3.689 Å, I = 100
- (1 1 2), 2.263 Å, I = 64
- (2 0 0), 2.251 Å, I = 32
- (1 0 3), 1.936 Å, I = 17
- (2 1 1), 1.922 Å, I = 34
- (2 2 0), 1.592 Å, I = 11
- (2 1 3), 1.468 Å, I = 14
- (3 0 1), 1.462 Å, I = 7

***

Record 2
# LiY3Pt8
Theoretical powder XRD pattern, Cu Ka. Input: DFT lattice parameters and positions (GGA-PBE).
Lines closer than 0.1° are merged.

Structure:
Cell: 5.4054 5.4054 26.4903 Å, 90.00 90.00 120.00°
Space group R3m (No. 160, hexagonal axes)
Inequivalent atoms, fractional coordinates:
Li (0.0000, 0.0000, 0.0000) (multiplicity 3)
Y (0.0000, 0.0000, 0.1243) (multiplicity 3)
Y (0.0000, 0.0000, 0.5116) (multiplicity 3)
Y (0.0000, 0.0000, 0.6402) (multiplicity 3)
Pt (0.0000, 0.0000, 0.3217) (multiplicity 3)
Pt (0.0000, 0.0000, 0.8216) (multiplicity 3)
Pt (0.0028, 0.5014, 0.0717) (multiplicity 9)
Pt (0.1672, 0.3343, 0.9045) (multiplicity 9)

Most intense lines, 5 to 70 degrees two-theta, by angle:
- (0 0 6), 4.414 Å, I = 63
- (1 0 7), 2.943 Å, I = 1
- (1 1 0), 2.703 Å, I = 6
- (2 0 2), 2.305 Å, I = 100
- (0 2 4), 2.207 Å, I = 76
- (2 0 8), 1.911 Å, I = 26
- (0 1 14), 1.754 Å, I = 17
- (3 0 0), 1.561 Å, I = 2
- (2 1 10), 1.471 Å, I = 32
- (2 2 0), 1.351 Å, I = 32

***

Record 3
# LiZr2Pt
Theoretical powder XRD pattern, Cu Ka. Input: DFT lattice parameters and positions (GGA-PBE).
Lines closer than 0.1° are merged.

Structure:
Cell: 6.5961 6.5961 6.5961 Å, 90.00 90.00 90.00°
Space group F-43m (No. 216)
Inequivalent atoms, fractional coordinates:
Li (0.0000, 0.0000, 0.0000) (multiplicity 4)
Zr (0.0000, 0.0000, 0.5000) (multiplicity 4)
Zr (0.2500, 0.2500, 0.7500) (multiplicity 4)
Pt (0.2500, 0.2500, 0.2500) (multiplicity 4)

Most intense lines, 5 to 70 degrees two-theta, by angle:
- (1 1 1), 3.808 Å, I = 29
- (2 0 0), 3.298 Å, I = 30
- (2 2 0), 2.332 Å, I = 100
- (3 1 1), 1.989 Å, I = 15
- (2 2 2), 1.904 Å, I = 9
- (4 0 0), 1.649 Å, I = 17
- (3 3 1), 1.513 Å, I = 6
- (4 2 0), 1.475 Å, I = 12
- (4 2 2), 1.346 Å, I = 34

***

Record 4
# LiPuTc
Theoretical powder XRD pattern, Cu Ka. Input: DFT lattice parameters and positions (GGA-PBE).
Lines closer than 0.1° are merged.

Structure:
Cell: 6.1536 6.1536 6.1536 Å, 90.00 90.00 90.00°
Space group F-43m (No. 216)
Inequivalent atoms, fractional coordinates:
Li (0.0000, 0.0000, 0.0000) (multiplicity 4)
Pu (0.2500, 0.2500, 0.2500) (multiplicity 4)
Tc (0.0000, 0.0000, 0.5000) (multiplicity 4)

Most intense lines, 5 to 70 degrees two-theta, by angle:
- (1 1 1), 3.553 Å, I = 100
- (2 0 0), 3.077 Å, I = 13
- (2 2 0), 2.176 Å, I = 73
- (3 1 1), 1.855 Å, I = 50
- (2 2 2), 1.776 Å, I = 4
- (4 0 0), 1.538 Å, I = 12
- (3 3 1), 1.412 Å, I = 21
- (4 2 0), 1.376 Å, I = 5